Structure and theoretical X-ray powder pattern of Fe3O4 (the PBE+U geometry in the Materials Project; Cu Kα X-rays).

Top 8 peaks for 10 to 90 degrees two-theta, by intensity:
2θ/deg, I/Imax
16.9, 100
27.7, 42
57.3, 41
44.5, 30
52.3, 26
32.6, 25
49.1, 23
39.6, 18

Structure:
```
Fe3O4
1.0
0.000 4.549 4.549
4.549 0.000 4.549
4.549 4.549 0.000
Fe O
6 8
Direct
0.000 0.000 0.000
0.146 0.146 0.146
0.146 0.146 0.562
0.146 0.562 0.146
0.500 0.500 0.500
0.562 0.146 0.146
0.330 0.890 0.890
0.372 0.372 0.372
0.372 0.372 0.883
0.372 0.883 0.372
0.883 0.372 0.372
0.890 0.330 0.890
0.890 0.890 0.330
0.890 0.890 0.890
```